Diffraction record for CsCuTe2As. The XRD peak list is simulated, not measured: it uses a GGA-PBE-relaxed structure and λ = 1.5418 Å (Cu Kα).
No peak broadening, texture or thermal motion is included.

Peak list (6 most intense, 2θ from 10° to 80°, in order of rising 2θ)
two_theta, I_rel, h k l
24.60, 83, 2 0 -2
25.24, 65, 1 0 2
26.69, 45, 1 1 1
28.69, 57, 1 1 -2
28.87, 34, 0 1 2
30.02, 100, 2 1 0

Structural model:
Unit cell a=8.676 b=4.276 c=9.369 alpha=90.00 beta=107.13 gamma=90.00
Space group P2/c (No. 13)
One atom of each set of equivalent atoms:
Cs 0.000 0.026 0.250 x2
Cu 0.500 0.000 0.000 x2
Te 0.296 0.386 0.066 x4
As 0.500 0.197 0.750 x2

---

Diffraction record for CaAc3Ni8. The XRD peak list is simulated, not measured: it uses a GGA-PBE-relaxed structure and λ = 1.5418 Å (Cu Kα).
No peak broadening, texture or thermal motion is included.

Peak list (6 most intense, 2θ from 10° to 80°, in order of rising 2θ)
two_theta, I_rel, h k l
20.59, 22, 0 1 2
33.78, 44, 0 1 8
33.98, 45, 1 1 0
39.81, 36, 1 0 10
40.01, 100, 2 0 2
64.74, 17, 2 1 10

Structural model:
Unit cell a=5.2772 b=5.2772 c=26.0701 alpha=90.00 beta=90.00 gamma=120.00
Space group R3m (No. 160, hexagonal axes)
One atom of each set of equivalent atoms:
Ca 0.0000 0.0000 0.0000 x3
Ac 0.0000 0.0000 0.3679 x3
Ac 0.0000 0.0000 0.4950 x3
Ac 0.0000 0.0000 0.8778 x3
Ni 0.0000 0.0000 0.1854 x3
Ni 0.0000 0.0000 0.6843 x3
Ni 0.0008 0.5004 0.4338 x9
Ni 0.1682 0.3364 0.2694 x9